Computed powder X-ray diffraction pattern
Compound: ZrMn6Ga2Sn4
Radiation: Cu Kα X-rays
Structure: DFT lattice parameters and positions (GGA-PBE)

Structural model:
a = 5.294 Å, b = 5.294 Å, c = 8.987 Å
α = 90.00°, β = 90.00°, γ = 120.00°
Element x y z (fractional)
Zr 0.000 0.000 0.000
Mn 0.000 0.500 0.248
Mn 0.000 0.500 0.752
Mn 0.500 0.000 0.248
Mn 0.500 0.000 0.752
Mn 0.500 0.500 0.248
Mn 0.500 0.500 0.752
Ga 0.000 0.000 0.307
Ga 0.000 0.000 0.693
Sn 0.333 0.667 0.000
Sn 0.333 0.667 0.500
Sn 0.667 0.333 0.000
Sn 0.667 0.333 0.500

Top 10 peaks for 2θ = 10–80°, sorted by position:
- 33.9°, I 850, (1 1 0)
- 35.8°, I 197, (1 0 3)
- 39.5°, I 1000, (1 1 2)
- 40.1°, I 413, (0 0 4)
- 44.4°, I 748, (2 0 2)
- 53.5°, I 306, (1 1 4)
- 60.6°, I 166, (3 0 0)
- 64.4°, I 241, (3 0 2)
- 71.3°, I 283, (2 2 0)
- 72.5°, I 297, (1 1 6)